Record 1
This entry pairs a crystal structure of Na5Ni2P2C2O14 with its simulated X-ray powder pattern. Radiation: copper Kα. Structure: the PBE+U geometry in Alexandria.
Lines closer than 0.1° are merged.

```
data_Na5Ni2P2C2O14
_space_group_name_H-M_alt 'P 1 m 1'
_space_group_IT_number 6
_space_group_name_Hall 'P -2y'
_cell_length_a 5.163
_cell_length_b 6.657
_cell_length_c 8.912
_cell_angle_alpha 90.00
_cell_angle_beta 91.19
_cell_angle_gamma 90.00
loop_
_atom_site_label
_atom_site_type_symbol
_atom_site_fract_x
_atom_site_fract_y
_atom_site_fract_z
_atom_site_occupancy
Na1 Na 0.000 0.000 0.000 1
Na2 Na 0.480 0.244 0.820 1
Na3 Na 0.984 0.261 0.340 1
Ni1 Ni 0.015 0.500 0.728 1
Ni2 Ni 0.448 0.000 0.432 1
P1 P 0.518 0.500 0.500 1
P2 P 0.941 0.000 0.663 1
C1 C 0.506 0.000 0.149 1
C2 C 0.957 0.500 0.007 1
O1 O 0.016 0.186 0.761 1
O2 O 0.078 0.000 0.511 1
O3 O 0.182 0.500 0.944 1
O4 O 0.280 0.000 0.211 1
O5 O 0.382 0.500 0.654 1
O6 O 0.442 0.312 0.407 1
O7 O 0.527 0.000 0.005 1
O8 O 0.641 0.000 0.634 1
O9 O 0.709 0.000 0.238 1
O10 O 0.759 0.500 0.913 1
O11 O 0.819 0.500 0.530 1
O12 O 0.932 0.500 0.148 1
```

Principal peaks in the range 2θ from 15° to 90°, in order of falling intensity:
- hkl 0 2 0, 3.330 Å, I 100
- hkl 0 2 2, 2.664 Å, I 90
- hkl 2 0 0, 2.581 Å, I 65
- hkl 0 1 1, 5.333 Å, I 58
- hkl 1 2 -1, 2.677 Å, I 48
- hkl 1 0 -2, 3.408 Å, I 43
- hkl 1 1 3, 2.382 Å, I 38
- hkl 0 2 4, 1.851 Å, I 35



Record 2
This entry pairs a crystal structure of Na5Ni2P2C2O14 with its simulated X-ray powder pattern. Radiation: copper Kα. Structure: the PBE+U geometry in Alexandria.
Lines closer than 0.1° are merged.

```
data_Na5Ni2P2C2O14
_space_group_name_H-M_alt 'P 1 21/m 1'
_space_group_IT_number 11
_space_group_name_Hall '-P 2yb'
_cell_length_a 8.946
_cell_length_b 6.633
_cell_length_c 10.386
_cell_angle_alpha 90.00
_cell_angle_beta 91.19
_cell_angle_gamma 90.00
loop_
_atom_site_label
_atom_site_type_symbol
_atom_site_fract_x
_atom_site_fract_y
_atom_site_fract_z
_atom_site_occupancy
Na1 Na 0.086 0.250 0.111 1
Na2 Na 0.242 0.004 0.387 1
Na3 Na 0.271 0.012 0.869 1
Ni1 Ni 0.349 0.750 0.107 1
Ni2 Ni 0.358 0.750 0.609 1
P1 P 0.415 0.250 0.144 1
P2 P 0.426 0.250 0.644 1
C1 C 0.067 0.750 0.131 1
C2 C 0.077 0.750 0.644 1
O1 O 0.063 0.250 0.337 1
O2 O 0.076 0.250 0.867 1
O3 O 0.134 0.750 0.020 1
O4 O 0.135 0.750 0.531 1
O5 O 0.153 0.750 0.232 1
O6 O 0.173 0.750 0.741 1
O7 O 0.318 0.064 0.106 1
O8 O 0.332 0.062 0.606 1
O9 O 0.421 0.750 0.423 1
O10 O 0.433 0.750 0.924 1
O11 O 0.443 0.250 0.294 1
O12 O 0.454 0.250 0.793 1
```

Principal peaks in the range 2θ from 15° to 90°, in order of falling intensity:
- hkl 2 2 0, 2.662 Å, I 100
- hkl 0 2 0, 3.317 Å, I 94
- hkl 0 0 4, 2.596 Å, I 73
- hkl 1 1 0, 5.328 Å, I 64
- hkl 1 2 -2, 2.676 Å, I 54
- hkl 2 0 -2, 3.424 Å, I 52
- hkl 2 1 -4, 2.145 Å, I 52
- hkl 1 0 2, 4.455 Å, I 39